For NaGeSb5O, a crystal structure in the Materials Project, relaxed with PBE gives the theoretical X-ray diffraction stick pattern in this record (Cu Kα (λ = 1.5418 Å)).
Neutral-atom scattering factors, no anomalous dispersion.

Most intense lines, 15 to 90 degrees two-theta, by angle:
23.18 deg, d 3.836, intensity 30; 26.28 deg, d 3.391, intensity 64; 26.82 deg, d 3.324, intensity 29; 28.62 deg, d 3.119, intensity 93; 31.06 deg, d 2.879, intensity 100; 33.87 deg, d 2.646, intensity 59; 35.44 deg, d 2.533, intensity 62; 37.18 deg, d 2.418, intensity 32; 49.54 deg, d 1.840, intensity 29; 54.12 deg, d 1.695, intensity 26

```
data_NaGeSb5O
_chemical_formula_sum 'Na4 Ge4 Sb20 O4'
_space_group_name_H-M_alt 'C 1 2/c 1'
_space_group_IT_number 15
_cell_length_a 7.7121
_cell_length_b 14.4240
_cell_length_c 8.3126
_cell_angle_alpha 90.00
_cell_angle_beta 112.63
_cell_angle_gamma 90.00
loop_
_space_group_symop_operation_xyz
'x,y,z'
'-x,-y,-z'
'-x,y,-z+1/2'
'x,-y,z+1/2'
'x+1/2,y+1/2,z'
'-x+1/2,-y+1/2,-z'
'-x+1/2,y+1/2,-z+1/2'
'x+1/2,-y+1/2,z+1/2'
loop_
_atom_site_label
_atom_site_type_symbol
_atom_site_fract_x
_atom_site_fract_y
_atom_site_fract_z
Na1 Na 0.0000 0.1546 0.2500
Ge1 Ge 0.2500 0.2500 0.0000
Sb1 Sb 0.0000 0.1084 0.7500
Sb2 Sb 0.0737 0.3535 0.5014
Sb3 Sb 0.2040 0.4603 0.9064
O1 O 0.0000 0.3115 0.2500
```